Li2MnSi3O8: calculated XRD peak list (Cu Kα (weighted mean of Kα1 and Kα2)), based on the GGA+U geometry in the Materials Project.

Crystal structure
Cell lengths 5.140, 9.995, 7.004 Å; angles 90.00, 90.98, 90.00 degrees
Sites, in units of the cell vectors:
Li (0.057, 0.000, 0.244)
Li (0.389, 0.278, 0.273)
Li (0.611, 0.778, 0.727)
Li (0.943, 0.500, 0.756)
Mn (0.098, 0.951, 0.737)
Mn (0.902, 0.451, 0.263)
Si (0.008, 0.714, 0.031)
Si (0.399, 0.532, 0.474)
Si (0.481, 0.296, 0.726)
Si (0.519, 0.796, 0.274)
Si (0.601, 0.032, 0.526)
Si (0.992, 0.214, 0.969)
O (0.032, 0.055, 0.979)
O (0.043, 0.270, 0.182)
O (0.091, 0.524, 0.506)
O (0.185, 0.289, 0.808)
O (0.306, 0.757, 0.110)
O (0.455, 0.953, 0.336)
O (0.496, 0.956, 0.712)
O (0.500, 0.195, 0.534)
O (0.500, 0.695, 0.466)
O (0.504, 0.456, 0.288)
O (0.545, 0.453, 0.664)
O (0.694, 0.257, 0.890)
O (0.815, 0.789, 0.192)
O (0.909, 0.024, 0.494)
O (0.957, 0.770, 0.818)
O (0.968, 0.555, 0.021)

Principal peaks in the range 2θ = 10–90°, most intense first:
- d 5.735, 15.45°, I = 100
- d 4.110, 21.62°, I = 95
- d 4.068, 21.85°, I = 87
- d 3.855, 23.07°, I = 78
- d 2.868, 31.19°, I = 74
- d 3.009, 29.69°, I = 48
- d 2.570, 34.91°, I = 43
- d 2.499, 35.94°, I = 42
- d 4.178, 21.27°, I = 33
- d 3.205, 27.83°, I = 32

***

Li4Mn2Si3O10: calculated XRD peak list (Cu Kα (weighted mean of Kα1 and Kα2)), based on the GGA+U geometry in the Materials Project.

Crystal structure
Cell lengths 5.400, 5.400, 17.209 Å; angles 98.54, 98.54, 60.82 degrees
Sites, in units of the cell vectors:
Li (0.079, 0.290, 0.229)
Li (0.177, 0.331, 0.553)
Li (0.290, 0.079, 0.729)
Li (0.331, 0.177, 0.053)
Li (0.669, 0.823, 0.947)
Li (0.710, 0.921, 0.271)
Li (0.823, 0.669, 0.447)
Li (0.921, 0.710, 0.771)
Mn (0.303, 0.486, 0.916)
Mn (0.486, 0.303, 0.416)
Mn (0.514, 0.697, 0.584)
Mn (0.697, 0.514, 0.084)
Si (0.036, 0.841, 0.099)
Si (0.159, 0.964, 0.401)
Si (0.384, 0.616, 0.250)
Si (0.616, 0.384, 0.750)
Si (0.841, 0.036, 0.599)
Si (0.964, 0.159, 0.901)
O (0.071, 0.129, 0.111)
O (0.089, 0.720, 0.188)
O (0.111, 0.281, 0.435)
O (0.129, 0.071, 0.611)
O (0.280, 0.911, 0.312)
O (0.281, 0.111, 0.935)
O (0.281, 0.576, 0.048)
O (0.340, 0.419, 0.787)
O (0.419, 0.340, 0.287)
O (0.424, 0.719, 0.452)
O (0.576, 0.281, 0.548)
O (0.581, 0.660, 0.713)
O (0.660, 0.581, 0.213)
O (0.719, 0.424, 0.952)
O (0.719, 0.889, 0.065)
O (0.720, 0.089, 0.688)
O (0.871, 0.929, 0.389)
O (0.889, 0.719, 0.565)
O (0.911, 0.280, 0.812)
O (0.929, 0.871, 0.889)

Principal peaks in the range 2θ = 10–90°, most intense first:
- d 2.700, 33.18°, I = 100
- d 2.825, 31.67°, I = 86
- d 4.632, 19.16°, I = 72
- d 4.588, 19.35°, I = 59
- d 3.294, 27.07°, I = 54
- d 3.963, 22.44°, I = 48
- d 8.476, 10.44°, I = 46
- d 3.777, 23.56°, I = 41
- d 4.271, 20.80°, I = 40
- d 2.296, 39.23°, I = 39

***

LiMnSi2O6: calculated XRD peak list (Cu Kα (weighted mean of Kα1 and Kα2)), based on the GGA+U geometry in the Materials Project.

Crystal structure
Cell lengths 6.707, 6.707, 5.325 Å; angles 106.70, 106.70, 83.08 degrees
Sites, in units of the cell vectors:
Li (0.246, 0.754, 0.750)
Li (0.754, 0.246, 0.250)
Mn (0.395, 0.605, 0.250)
Mn (0.605, 0.395, 0.750)
Si (0.114, 0.297, 0.737)
Si (0.297, 0.114, 0.237)
Si (0.703, 0.886, 0.763)
Si (0.886, 0.703, 0.263)
O (0.123, 0.613, 0.337)
O (0.150, 0.152, 0.948)
O (0.152, 0.150, 0.448)
O (0.295, 0.476, 0.863)
O (0.387, 0.877, 0.163)
O (0.476, 0.295, 0.363)
O (0.524, 0.705, 0.637)
O (0.613, 0.123, 0.837)
O (0.705, 0.524, 0.137)
O (0.848, 0.850, 0.552)
O (0.850, 0.848, 0.052)
O (0.877, 0.387, 0.663)

Principal peaks in the range 2θ = 10–90°, most intense first:
- d 3.090, 28.90°, I = 100
- d 2.919, 30.62°, I = 58
- d 6.419, 13.80°, I = 48
- d 4.527, 19.61°, I = 31
- d 3.482, 25.58°, I = 31
- d 1.648, 55.77°, I = 25
- d 2.458, 36.55°, I = 24
- d 4.448, 19.96°, I = 22
- d 2.410, 37.31°, I = 20
- d 2.186, 41.30°, I = 17

***

Li3MnSiO5: calculated XRD peak list (Cu Kα (weighted mean of Kα1 and Kα2)), based on the GGA+U geometry in the Materials Project.

Crystal structure
Cell lengths 5.487, 15.884, 5.008 Å; angles 90.00, 90.00, 90.00 degrees
Sites, in units of the cell vectors:
Li (0.164, 0.006, 0.000)
Li (0.164, 0.591, 0.995)
Li (0.173, 0.197, 0.009)
Li (0.327, 0.697, 0.509)
Li (0.336, 0.091, 0.495)
Li (0.336, 0.506, 0.500)
Li (0.664, 0.494, 0.000)
Li (0.664, 0.909, 0.995)
Li (0.673, 0.303, 0.009)
Li (0.827, 0.803, 0.509)
Li (0.836, 0.409, 0.495)
Li (0.836, 0.994, 0.500)
Mn (0.172, 0.803, 0.008)
Mn (0.328, 0.303, 0.508)
Mn (0.672, 0.697, 0.008)
Mn (0.828, 0.197, 0.508)
Si (0.163, 0.402, 0.007)
Si (0.337, 0.902, 0.507)
Si (0.663, 0.098, 0.007)
Si (0.837, 0.598, 0.507)
O (0.120, 0.602, 0.604)
O (0.159, 0.204, 0.599)
O (0.170, 0.398, 0.670)
O (0.186, 0.985, 0.605)
O (0.190, 0.814, 0.606)
O (0.310, 0.314, 0.106)
O (0.314, 0.485, 0.105)
O (0.330, 0.898, 0.170)
O (0.341, 0.704, 0.099)
O (0.380, 0.102, 0.104)
O (0.620, 0.898, 0.604)
O (0.659, 0.296, 0.599)
O (0.670, 0.102, 0.670)
O (0.686, 0.515, 0.605)
O (0.690, 0.686, 0.606)
O (0.810, 0.186, 0.106)
O (0.814, 0.015, 0.105)
O (0.830, 0.602, 0.170)
O (0.841, 0.796, 0.099)
O (0.880, 0.398, 0.104)

Principal peaks in the range 2θ = 10–90°, most intense first:
- d 2.747, 32.59°, I = 100
- d 4.514, 19.67°, I = 100
- d 3.638, 24.47°, I = 74
- d 2.504, 35.87°, I = 60
- d 2.409, 37.33°, I = 51
- d 7.942, 11.14°, I = 49
- d 1.427, 65.42°, I = 39
- d 1.585, 58.21°, I = 36
- d 4.776, 18.58°, I = 31
- d 1.851, 49.24°, I = 31